This entry pairs a crystal structure of ThGa6Pt2 with its simulated powder diffraction line list. Radiation: a wavelength of 1.5418 Å. Structure: a structure optimized by DFT (GGA-PBE).
Intensities are scaled so that the largest is 100.

Cell: 5.0354 5.0354 9.0720 Å, 90.00 90.00 120.00°
Element x y z (fractional)
Th (0.0000, 0.0000, 0.0000)
Ga (0.0000, 0.3387, 0.7204)
Ga (0.0000, 0.6613, 0.2796)
Ga (0.3387, 0.0000, 0.7204)
Ga (0.3387, 0.3387, 0.2796)
Ga (0.6613, 0.0000, 0.2796)
Ga (0.6613, 0.6613, 0.7204)
Pt (0.3333, 0.6667, 0.5000)
Pt (0.6667, 0.3333, 0.5000)

Most intense lines, 10° ≤ 2θ ≤ 90°, sorted by position:
| 2θ/deg | I (rel.) | index |
| --- | --- | --- |
| 22.62 | 100 | 1 0 1 |
| 36.15 | 30 | 1 0 3 |
| 37.06 | 26 | 2 -1 1 |
| 39.74 | 20 | 0 0 4 |
| 41.00 | 85 | 2 -1 2 |
| 42.65 | 19 | 2 0 1 |
| 56.77 | 17 | 3 -1 1 |
| 64.06 | 18 | 3 0 0 |


This entry pairs a crystal structure of ThGa2Pt8 with its simulated powder diffraction line list. Radiation: a wavelength of 1.5418 Å. Structure: a structure optimized by DFT (GGA-PBE).
Intensities are scaled so that the largest is 100.

Cell: 5.4313 5.4313 7.7940 Å, 90.00 90.00 90.00°
Element x y z (fractional)
Th (0.0000, 0.0000, 0.0000)
Ga (0.0000, 0.5000, 0.5000)
Ga (0.5000, 0.0000, 0.5000)
Pt (0.2549, 0.2549, 0.2767)
Pt (0.2549, 0.2549, 0.7233)
Pt (0.2549, 0.7451, 0.2767)
Pt (0.2549, 0.7451, 0.7233)
Pt (0.7451, 0.2549, 0.2767)
Pt (0.7451, 0.2549, 0.7233)
Pt (0.7451, 0.7451, 0.2767)
Pt (0.7451, 0.7451, 0.7233)

Most intense lines, 10° ≤ 2θ ≤ 90°, sorted by position:
| 2θ/deg | I (rel.) | index |
| --- | --- | --- |
| 22.82 | 38 | 0 0 2 |
| 25.86 | 13 | 1 1 1 |
| 32.98 | 35 | 2 0 0 |
| 40.49 | 100 | 2 0 2 |
| 47.34 | 35 | 2 2 0 |
| 53.17 | 16 | 2 2 2 |
| 68.62 | 16 | 2 2 4 |
| 83.35 | 25 | 4 2 2 |


This entry pairs a crystal structure of Th2GaPt9 with its simulated powder diffraction line list. Radiation: a wavelength of 1.5418 Å. Structure: a structure optimized by DFT (GGA-PBE).
Intensities are scaled so that the largest is 100.

Cell: 4.1875 4.1875 12.2142 Å, 90.00 90.00 90.00°
Element x y z (fractional)
Th (0.0000, 0.0000, 0.1764)
Th (0.0000, 0.0000, 0.8236)
Ga (0.0000, 0.0000, 0.5000)
Pt (0.0000, 0.5000, 0.0000)
Pt (0.0000, 0.5000, 0.3492)
Pt (0.0000, 0.5000, 0.6508)
Pt (0.5000, 0.0000, 0.0000)
Pt (0.5000, 0.0000, 0.3492)
Pt (0.5000, 0.0000, 0.6508)
Pt (0.5000, 0.5000, 0.1752)
Pt (0.5000, 0.5000, 0.5000)
Pt (0.5000, 0.5000, 0.8248)

Most intense lines, 10° ≤ 2θ ≤ 90°, sorted by position:
| 2θ/deg | I (rel.) | index |
| --- | --- | --- |
| 37.56 | 100 | 1 1 3 |
| 43.21 | 35 | 2 0 0 |
| 44.51 | 14 | 0 0 6 |
| 62.76 | 12 | 2 2 0 |
| 63.77 | 19 | 2 0 6 |
| 75.50 | 27 | 3 1 3 |
| 77.35 | 9 | 1 1 9 |
| 80.16 | 10 | 2 2 6 |